Entry 1:
The following is a computed X-ray diffraction stick pattern of LaTcO6. It was derived from DFT lattice parameters and positions (GGA-PBE), using Cu Kα X-rays.
Neutral-atom scattering factors, no anomalous dispersion.

Top 10 peaks for 2θ = 15–90°, in order of rising 2θ:
h k l	Position (°2θ)	intensity
1 1 -1	25.05	100
0 2 0	27.04	39
1 1 1	28.70	83
2 0 0	30.71	22
2 2 0	41.37	23
2 0 -2	42.85	20
0 2 2	45.06	31
1 3 1	48.82	29
3 1 -1	49.13	24
2 2 -2	51.40	17

Crystal structure
a b c (Å): 5.919 6.595 5.163
angles (deg): 90.00 100.33 90.00
Space group C2/m (No. 12)
One atom of each set of equivalent atoms:
La: 0.000 0.000 0.000 (multiplicity 2)
Tc: 0.000 0.500 0.500 (multiplicity 2)
O: 0.135 0.306 0.752 (multiplicity 8)
O: 0.227 0.000 0.647 (multiplicity 4)

Entry 2:
The following is a computed X-ray diffraction stick pattern of LaTc3O12. It was derived from DFT lattice parameters and positions (GGA-PBE), using Cu Kα X-rays.
Neutral-atom scattering factors, no anomalous dispersion.

Top 10 peaks for 2θ = 15–90°, in order of rising 2θ:
h k l	Position (°2θ)	intensity
1 0 4	17.06	17
0 0 6	19.14	27
1 1 3	21.89	100
0 2 4	26.14	15
1 1 6	27.58	44
3 0 0	34.40	27
1 1 9	35.19	21
3 0 6	39.66	11
1 2 8	40.03	12
2 2 6	44.67	18

Crystal structure
a b c (Å): 9.0310 9.0310 27.8173
angles (deg): 90.00 90.00 120.00
Space group R3c (No. 161, hexagonal axes)
One atom of each set of equivalent atoms:
La: 0.0000 0.0000 0.0000 (multiplicity 6)
Tc: 0.0065 0.3638 0.2731 (multiplicity 18)
O: 0.0043 0.4687 0.3257 (multiplicity 18)
O: 0.0703 0.2255 0.5594 (multiplicity 18)
O: 0.0844 0.5247 0.9497 (multiplicity 18)
O: 0.1049 0.2254 0.9299 (multiplicity 18)